Theoretical powder diffractogram of Cu2Ag7 for Cu Kα (λ = 1.5418 Å), from a cell relaxed with GGA-PBE.

Largest 12 diffraction maxima, sorted by position, 2θ = 5–70°:
2theta  I (rel.)
33.29  23
35.60  186
38.49  1000
40.80  111
41.86  46
44.01  417
45.64  10
46.18  71
51.67  12
61.56  124
63.99  128
65.69  93

Structural model:
```
9
Lattice="-1.455 1.455 17.692 1.455 -1.455 17.692 1.455 1.455 -17.692" Properties=species:S:1:pos:R:3 pbc="T T T"
Cu 0.000 0.000 8.135
Cu 0.000 0.000 27.249
Ag 0.000 0.000 0.000
Ag 0.000 0.000 4.218
Ag 0.000 0.000 11.358
Ag 0.000 0.000 15.586
Ag 0.000 0.000 19.798
Ag 0.000 0.000 24.026
Ag 0.000 0.000 31.167
```

Theoretical powder diffractogram of Cu2Ag3 for Cu Kα (λ = 1.5418 Å), from a cell relaxed with GGA-PBE.

Largest 12 diffraction maxima, sorted by position, 2θ = 5–70°:
2theta  I (rel.)
32.53  90
33.69  75
35.20  101
38.98  972
40.41  1000
43.24  771
51.63  188
60.74  87
61.99  76
64.85  122
69.52  137
69.59  140

Structural model:
```
10
Lattice="7.056 0.000 0.000 0.000 2.876 0.000 -0.923 0.000 7.651" Properties=species:S:1:pos:R:3 pbc="T T T"
Cu 0.169 0.719 1.045
Cu 0.772 0.719 5.651
Cu 5.361 2.157 2.000
Cu 5.965 2.157 6.606
Ag 0.704 2.157 3.309
Ag 2.293 2.157 0.194
Ag 3.114 0.719 2.545
Ag 3.020 2.157 5.106
Ag 3.840 0.719 7.458
Ag 5.429 0.719 4.343
```

Number 2 is which compound? Cu2Ag3